# Li3Mn2Si2O8
Simulated powder diffractogram, Cu Kα (λ = 1.5418 Å). Input: a cell relaxed with GGA+U.
Lines closer than 0.1° are merged.

Largest 12 diffraction maxima, low angle first, 2θ from 5° to 70°:
Position (°2θ)  intensity  index
15.7  100  0 1 1
21.6  57  1 0 -1
21.7  18  1 0 1
22.0  37  0 2 1
23.4  83  1 1 1
24.8  20  1 2 0
31.8  16  0 2 2
34.6  19  1 3 1
34.8  62  2 0 0
35.7  50  0 4 0
40.8  25  0 1 3
54.9  16  2 1 3

Atomic structure:
Cell: 5.151 10.049 6.795 Å, 90.00 90.29 90.00°
Fractional coordinates of all 30 atoms:
1 Li 0.057 0.000 0.249
2 Li 0.058 0.256 0.059
3 Li 0.426 0.367 0.297
4 Li 0.574 0.867 0.703
5 Li 0.942 0.756 0.941
6 Li 0.943 0.500 0.751
7 Mn 0.066 0.045 0.741
8 Mn 0.477 0.296 0.774
9 Mn 0.523 0.796 0.226
10 Mn 0.934 0.545 0.259
11 Si 0.063 0.769 0.502
12 Si 0.432 0.590 0.980
13 Si 0.568 0.090 0.020
14 Si 0.937 0.269 0.498
15 O 0.018 0.611 0.535
16 O 0.046 0.351 0.306
17 O 0.072 0.309 0.716
18 O 0.115 0.584 0.981
19 O 0.375 0.811 0.481
20 O 0.428 0.978 0.155
21 O 0.456 0.245 0.059
22 O 0.471 0.083 0.783
23 O 0.529 0.583 0.217
24 O 0.544 0.745 0.941
25 O 0.572 0.478 0.845
26 O 0.625 0.311 0.519
27 O 0.885 0.084 0.019
28 O 0.928 0.809 0.284
29 O 0.954 0.851 0.694
30 O 0.982 0.111 0.465